Starting from a cell relaxed with PBE, the powder diffraction line list of YMg2Sn3 was calculated for λ = 1.5418 Å (Cu Kα).

Largest 8 diffraction maxima, in order of rising 2θ, 5° ≤ 2θ ≤ 70°:
2θ 20.39, I 16; 2θ 26.54, I 17; 2θ 33.69, I 100; 2θ 37.31, I 19; 2θ 38.45, I 18; 2θ 41.46, I 14; 2θ 64.99, I 15; 2θ 66.53, I 14

Atomic structure:
```
data_YMg2Sn3
_chemical_formula_sum 'Y2 Mg4 Sn6'
_cell_length_a 4.683
_cell_length_b 14.462
_cell_length_c 4.356
_cell_angle_alpha 90.00
_cell_angle_beta 90.00
_cell_angle_gamma 90.00
_space_group_name_H-M_alt 'C m m m'
_space_group_IT_number 65
_space_group_name_Hall '-C 2 2'
loop_
_atom_site_label
_atom_site_fract_x
_atom_site_fract_y
_atom_site_fract_z
Y1 0.000 0.000 0.000
Mg1 0.000 0.330 0.000
Sn1 0.000 0.170 0.500
Sn2 0.000 0.500 0.500
```

=====

Starting from a cell relaxed with PBE, the powder diffraction line list of Y2Mg2Sn7 was calculated for λ = 1.5418 Å (Cu Kα).

Largest 8 diffraction maxima, in order of rising 2θ, 5° ≤ 2θ ≤ 70°:
2θ 18.90, I 47; 2θ 25.15, I 83; 2θ 30.22, I 85; 2θ 32.01, I 51; 2θ 33.11, I 36; 2θ 33.44, I 94; 2θ 33.70, I 100; 2θ 40.20, I 100

Atomic structure:
```
data_Y2Mg2Sn7
_chemical_formula_sum 'Y4 Mg4 Sn14'
_cell_length_a 10.770
_cell_length_b 9.437
_cell_length_c 5.949
_cell_angle_alpha 90.00
_cell_angle_beta 95.61
_cell_angle_gamma 90.00
_space_group_name_H-M_alt 'C 1 2/m 1'
_space_group_IT_number 12
loop_
_space_group_symop_operation_xyz
'x,y,z'
'-x,-y,-z'
'-x,y,-z'
'x,-y,z'
'x+1/2,y+1/2,z'
'-x+1/2,-y+1/2,-z'
'-x+1/2,y+1/2,-z'
'x+1/2,-y+1/2,z'
loop_
_atom_site_label
_atom_site_fract_x
_atom_site_fract_y
_atom_site_fract_z
Y1 0.000 0.195 0.000
Mg1 0.245 0.000 0.225
Sn1 0.000 0.000 0.500
Sn2 0.031 0.500 0.260
Sn3 0.235 0.180 0.727
```

=====

Starting from a cell relaxed with PBE, the powder diffraction line list of Mg14ZnSn was calculated for λ = 1.5418 Å (Cu Kα).

Largest 8 diffraction maxima, in order of rising 2θ, 5° ≤ 2θ ≤ 70°:
2θ 16.04, I 33; 2θ 23.85, I 26; 2θ 32.41, I 28; 2θ 35.50, I 25; 2θ 37.08, I 100; 2θ 48.82, I 18; 2θ 64.78, I 18; 2θ 69.70, I 19

Atomic structure:
```
data_Mg14ZnSn
_chemical_formula_sum 'Mg14 Zn1 Sn1'
_cell_length_a 6.3801
_cell_length_b 6.3801
_cell_length_c 10.1163
_cell_angle_alpha 90.00
_cell_angle_beta 90.00
_cell_angle_gamma 120.00
_space_group_name_H-M_alt 'P -6 m 2'
_space_group_IT_number 187
_space_group_name_Hall 'P -6 2'
loop_
_atom_site_label
_atom_site_fract_x
_atom_site_fract_y
_atom_site_fract_z
Mg1 0.0000 0.0000 0.2474
Mg2 0.0022 0.5011 0.2542
Mg3 0.3307 0.1653 0.5000
Mg4 0.3338 0.1669 0.0000
Zn1 0.3333 0.6667 0.5000
Sn1 0.3333 0.6667 0.0000
```

=====

Starting from a cell relaxed with PBE, the powder diffraction line list of Mg17Zn11Sn was calculated for λ = 1.5418 Å (Cu Kα).

Largest 8 diffraction maxima, in order of rising 2θ, 5° ≤ 2θ ≤ 70°:
2θ 20.64, I 73; 2θ 21.27, I 73; 2θ 21.43, I 92; 2θ 36.93, I 88; 2θ 37.59, I 100; 2θ 39.58, I 59; 2θ 41.59, I 63; 2θ 41.80, I 78

Atomic structure:
```
data_Mg17Zn11Sn
_chemical_formula_sum 'Mg34 Zn22 Sn2'
_cell_length_a 10.164
_cell_length_b 14.333
_cell_length_c 9.085
_cell_angle_alpha 90.00
_cell_angle_beta 122.40
_cell_angle_gamma 90.00
_space_group_name_H-M_alt 'C 1 m 1'
_space_group_IT_number 8
loop_
_space_group_symop_operation_xyz
'x,y,z'
'x,-y,z'
'x+1/2,y+1/2,z'
'x+1/2,-y+1/2,z'
loop_
_atom_site_label
_atom_site_fract_x
_atom_site_fract_y
_atom_site_fract_z
Mg1 0.000 0.000 0.000
Mg2 0.005 0.000 0.402
Mg3 0.122 0.199 0.039
Mg4 0.220 0.500 0.417
Mg5 0.285 0.358 0.717
Mg6 0.312 0.303 0.402
Mg7 0.316 0.000 0.063
Mg8 0.326 0.000 0.737
Mg9 0.364 0.349 0.108
Mg10 0.481 0.164 0.312
Mg11 0.496 0.182 0.724
Zn1 0.049 0.092 0.721
Zn2 0.083 0.404 0.085
Zn3 0.149 0.186 0.541
Zn4 0.179 0.500 0.906
Zn5 0.213 0.097 0.333
Zn6 0.320 0.187 0.899
Sn1 0.004 0.500 0.543
```

=====

Starting from a cell relaxed with PBE, the powder diffraction line list of Mg14ZnSn was calculated for λ = 1.5418 Å (Cu Kα).

Largest 8 diffraction maxima, in order of rising 2θ, 5° ≤ 2θ ≤ 70°:
2θ 9.93, I 33; 2θ 19.79, I 13; 2θ 22.19, I 20; 2θ 34.72, I 100; 2θ 40.21, I 33; 2θ 40.51, I 16; 2θ 58.40, I 21; 2θ 69.56, I 25

Atomic structure:
```
data_Mg14ZnSn
_chemical_formula_sum 'Mg28 Zn2 Sn2'
_cell_length_a 8.966
_cell_length_b 8.976
_cell_length_c 8.908
_cell_angle_alpha 90.00
_cell_angle_beta 90.00
_cell_angle_gamma 90.00
_space_group_name_H-M_alt 'C m m m'
_space_group_IT_number 65
_space_group_name_Hall '-C 2 2'
loop_
_atom_site_label
_atom_site_fract_x
_atom_site_fract_y
_atom_site_fract_z
Mg1 0.000 0.000 0.000
Mg2 0.000 0.244 0.257
Mg3 0.000 0.500 0.000
Mg4 0.244 0.000 0.257
Mg5 0.250 0.250 0.000
Mg6 0.250 0.250 0.500
Zn1 0.000 0.000 0.500
Sn1 0.000 0.500 0.500
```

=====

Starting from a cell relaxed with PBE, the powder diffraction line list of Mg5Zn4Sn was calculated for λ = 1.5418 Å (Cu Kα).

Largest 8 diffraction maxima, in order of rising 2θ, 5° ≤ 2θ ≤ 70°:
2θ 23.03, I 24; 2θ 28.24, I 29; 2θ 36.75, I 100; 2θ 40.36, I 42; 2θ 47.01, I 24; 2θ 55.79, I 8; 2θ 58.41, I 14; 2θ 63.67, I 21

Atomic structure:
```
data_Mg5Zn4Sn
_chemical_formula_sum 'Mg5 Zn4 Sn1'
_cell_length_a 3.160
_cell_length_b 3.160
_cell_length_c 19.311
_cell_angle_alpha 90.00
_cell_angle_beta 90.00
_cell_angle_gamma 90.00
_space_group_name_H-M_alt 'P 4/m m m'
_space_group_IT_number 123
_space_group_name_Hall '-P 4 2'
loop_
_atom_site_label
_atom_site_fract_x
_atom_site_fract_y
_atom_site_fract_z
Mg1 0.000 0.000 0.000
Mg2 0.000 0.000 0.192
Mg3 0.000 0.000 0.381
Zn1 0.500 0.500 0.096
Zn2 0.500 0.500 0.288
Sn1 0.500 0.500 0.500
```

=====

Starting from a cell relaxed with PBE, the powder diffraction line list of MgZrSn was calculated for λ = 1.5418 Å (Cu Kα).

Largest 8 diffraction maxima, in order of rising 2θ, 5° ≤ 2θ ≤ 70°:
2θ 21.29, I 35; 2θ 34.85, I 100; 2θ 37.32, I 69; 2θ 51.98, I 32; 2θ 56.24, I 7; 2θ 65.72, I 32; 2θ 67.31, I 12; 2θ 69.46, I 22

Atomic structure:
```
data_MgZrSn
_chemical_formula_sum 'Mg1 Zr1 Sn1'
_cell_length_a 4.8187
_cell_length_b 4.8187
_cell_length_c 3.2711
_cell_angle_alpha 90.00
_cell_angle_beta 90.00
_cell_angle_gamma 120.00
_space_group_name_H-M_alt 'P 3 m 1'
_space_group_IT_number 156
loop_
_space_group_symop_operation_xyz
'x,y,z'
'-y,x-y,z'
'-x+y,-x,z'
'-y,-x,z'
'-x+y,y,z'
'x,x-y,z'
loop_
_atom_site_label
_atom_site_fract_x
_atom_site_fract_y
_atom_site_fract_z
Mg1 0.0000 0.0000 0.0000
Zr1 0.6667 0.3333 0.4969
Sn1 0.3333 0.6667 0.9917
```

=====

Starting from a cell relaxed with PBE, the powder diffraction line list of SrMg3 was calculated for λ = 1.5418 Å (Cu Kα).

Largest 8 diffraction maxima, in order of rising 2θ, 5° ≤ 2θ ≤ 70°:
2θ 17.93, I 41; 2θ 25.47, I 36; 2θ 31.33, I 100; 2θ 36.33, I 50; 2θ 40.80, I 21; 2θ 44.89, I 16; 2θ 52.32, I 34; 2θ 62.26, I 40

Atomic structure:
```
data_SrMg3
_chemical_formula_sum 'Sr1 Mg3'
_cell_length_a 4.946
_cell_length_b 4.946
_cell_length_c 4.946
_cell_angle_alpha 90.00
_cell_angle_beta 90.00
_cell_angle_gamma 90.00
_space_group_name_H-M_alt 'P m -3 m'
_space_group_IT_number 221
_space_group_name_Hall '-P 4 2 3'
loop_
_atom_site_label
_atom_site_fract_x
_atom_site_fract_y
_atom_site_fract_z
Sr1 0.000 0.000 0.000
Mg1 0.000 0.500 0.500
```

=====

Starting from a cell relaxed with PBE, the powder diffraction line list of SrMg7 was calculated for λ = 1.5418 Å (Cu Kα).

Largest 8 diffraction maxima, in order of rising 2θ, 5° ≤ 2θ ≤ 70°:
2θ 15.01, I 22; 2θ 22.57, I 26; 2θ 30.29, I 28; 2θ 33.89, I 24; 2θ 34.81, I 100; 2θ 46.08, I 19; 2θ 53.79, I 24; 2θ 65.12, I 19

Atomic structure:
```
data_SrMg7
_chemical_formula_sum 'Sr1 Mg7'
_cell_length_a 6.8153
_cell_length_b 6.8153
_cell_length_c 5.2909
_cell_angle_alpha 90.00
_cell_angle_beta 90.00
_cell_angle_gamma 120.00
_space_group_name_H-M_alt 'P -6 m 2'
_space_group_IT_number 187
_space_group_name_Hall 'P -6 2'
loop_
_atom_site_label
_atom_site_fract_x
_atom_site_fract_y
_atom_site_fract_z
Sr1 0.0000 0.0000 0.0000
Mg1 0.0103 0.5051 0.0000
Mg2 0.1775 0.3551 0.5000
Mg3 0.6667 0.3333 0.5000
```

=====

Starting from a cell relaxed with PBE, the powder diffraction line list of SrMg2 was calculated for λ = 1.5418 Å (Cu Kα).

Largest 8 diffraction maxima, in order of rising 2θ, 5° ≤ 2θ ≤ 70°:
2θ 16.63, I 21; 2θ 22.92, I 25; 2θ 27.30, I 42; 2θ 32.13, I 100; 2θ 33.61, I 20; 2θ 43.83, I 23; 2θ 59.17, I 32; 2θ 60.09, I 17

Atomic structure:
```
data_SrMg2
_chemical_formula_sum 'Sr2 Mg4'
_cell_length_a 6.5339
_cell_length_b 6.5339
_cell_length_c 5.3323
_cell_angle_alpha 90.00
_cell_angle_beta 90.00
_cell_angle_gamma 120.00
_space_group_name_H-M_alt 'P -6 2 m'
_space_group_IT_number 189
_space_group_name_Hall 'P -6 -2'
loop_
_atom_site_label
_atom_site_fract_x
_atom_site_fract_y
_atom_site_fract_z
Sr1 0.3333 0.6667 0.0000
Mg1 0.0000 0.0000 0.0000
Mg2 0.0000 0.7228 0.5000
```

=====

Starting from a cell relaxed with PBE, the powder diffraction line list of SrMg2 was calculated for λ = 1.5418 Å (Cu Kα).

Largest 8 diffraction maxima, in order of rising 2θ, 5° ≤ 2θ ≤ 70°:
2θ 16.86, I 27; 2θ 27.71, I 77; 2θ 32.62, I 100; 2θ 49.01, I 31; 2θ 52.20, I 34; 2θ 57.23, I 24; 2θ 64.75, I 14; 2θ 67.45, I 12

Atomic structure:
a = 9.106 Å, b = 9.106 Å, c = 9.106 Å
α = 90.00°, β = 90.00°, γ = 90.00°
Space group Fd-3m (No. 227, origin choice 2)
Symmetry-distinct sites (fractional):
Sr1 0.125 0.125 0.125 x8
Mg1 0.000 0.000 0.500 x16

=====

Starting from a cell relaxed with PBE, the powder diffraction line list of SrMg was calculated for λ = 1.5418 Å (Cu Kα).

Largest 8 diffraction maxima, in order of rising 2θ, 5° ≤ 2θ ≤ 70°:
2θ 21.74, I 100; 2θ 24.26, I 77; 2θ 27.60, I 48; 2θ 30.93, I 54; 2θ 31.26, I 63; 2θ 34.27, I 96; 2θ 49.03, I 32; 2θ 57.18, I 40

Atomic structure:
```
data_SrMg
_chemical_formula_sum 'Sr8 Mg8'
_cell_length_a 12.929
_cell_length_b 12.929
_cell_length_c 3.826
_cell_angle_alpha 90.00
_cell_angle_beta 90.00
_cell_angle_gamma 90.00
_space_group_name_H-M_alt 'I 4/m'
_space_group_IT_number 87
_space_group_name_Hall '-I 4'
loop_
_atom_site_label
_atom_site_fract_x
_atom_site_fract_y
_atom_site_fract_z
Sr1 0.123 0.182 0.000
Mg1 0.078 0.614 0.000
```

=====

Starting from a cell relaxed with PBE, the powder diffraction line list of Sr6Mg23 was calculated for λ = 1.5418 Å (Cu Kα).

Largest 8 diffraction maxima, in order of rising 2θ, 5° ≤ 2θ ≤ 70°:
2θ 20.63, I 40; 2θ 23.86, I 26; 2θ 26.04, I 29; 2θ 29.33, I 37; 2θ 31.16, I 97; 2θ 34.00, I 100; 2θ 50.05, I 24; 2θ 52.02, I 29

Atomic structure:
```
data_Sr6Mg23
_chemical_formula_sum 'Sr24 Mg92'
_cell_length_a 14.916
_cell_length_b 14.916
_cell_length_c 14.916
_cell_angle_alpha 90.00
_cell_angle_beta 90.00
_cell_angle_gamma 90.00
_space_group_name_H-M_alt 'F m -3 m'
_space_group_IT_number 225
_space_group_name_Hall '-F 4 2 3'
loop_
_atom_site_label
_atom_site_fract_x
_atom_site_fract_y
_atom_site_fract_z
Sr1 0.000 0.000 0.208
Mg1 0.000 0.000 0.500
Mg2 0.000 0.250 0.250
Mg3 0.122 0.122 0.378
Mg4 0.174 0.174 0.174
```